# Li17Mn4As8
Calculated powder XRD pattern, copper Kα. Input: a PBE-relaxed structure.

Top 10 peaks for 2θ = 10–80°, low angle first:
2θ (°)	d (Å)	I/Imax	(hkl)
10.28	8.606	113	0 1 0
14.46	6.126	150	0 1 -1
25.43	3.503	1000	1 2 0
29.58	3.020	122	0 2 2
41.90	2.156	148	0 0 4
42.05	2.149	450	0 4 0
42.33	2.135	293	2 2 2
49.42	1.844	78	1 2 -4
50.05	1.822	191	3 0 -2
77.26	1.235	93	2 6 2

Structural model:
a = 6.030 Å, b = 8.593 Å, c = 8.625 Å
α = 90.74°, β = 90.08°, γ = 90.06°
Atoms (fractional coordinates):
Li  0.000  0.000  0.000
Li  0.001  0.503  0.004
Li  0.234  0.748  0.499
Li  0.243  0.999  0.738
Li  0.258  0.751  0.999
Li  0.261  0.487  0.262
Li  0.268  0.251  0.018
Li  0.508  0.743  0.246
Li  0.509  0.754  0.750
Li  0.523  0.241  0.769
Li  0.727  0.250  0.039
Li  0.756  0.751  0.999
Li  0.759  0.005  0.264
Li  0.768  0.491  0.272
Li  0.768  0.500  0.738
Li  0.782  0.996  0.727
Li  0.788  0.747  0.499
Mn  0.243  0.250  0.505
Mn  0.248  0.493  0.738
Mn  0.261  0.010  0.263
Mn  0.772  0.249  0.500
As  0.007  0.252  0.758
As  0.012  0.744  0.758
As  0.013  0.754  0.241
As  0.014  0.245  0.256
As  0.503  0.005  0.503
As  0.503  0.494  0.508
As  0.504  0.503  0.991
As  0.504  0.996  0.000